For TbSmSc6, a structure optimized by DFT (PBE) gives the simulated PXRD pattern in this record (CuKα).
Lines closer than 0.1° are merged.

Main lines, in order of falling intensity (10° ≤ 2θ ≤ 90°):
34.82°, I = 100; 22.51°, I = 44; 33.66°, I = 24; 30.36°, I = 24; 53.95°, I = 22; 65.11°, I = 20; 26.21°, I = 20; 60.95°, I = 18

Structure:
abc: 5.325 6.798 11.778
angles: 90.00 90.00 90.00
Positions (direct):
Tb: 0.000 0.000 0.000
Tb: 0.000 0.500 0.500
Sm: 0.500 0.000 0.667
Sm: 0.500 0.500 0.167
Sc: 0.000 0.000 0.496
Sc: 0.000 0.243 0.253
Sc: 0.000 0.257 0.753
Sc: 0.000 0.500 0.996
Sc: 0.000 0.743 0.753
Sc: 0.000 0.757 0.253
Sc: 0.500 0.000 0.170
Sc: 0.500 0.244 0.415
Sc: 0.500 0.256 0.915
Sc: 0.500 0.500 0.670
Sc: 0.500 0.744 0.915
Sc: 0.500 0.756 0.415

---

For K2Na2ThO4, a structure optimized by DFT (PBE) gives the simulated PXRD pattern in this record (CuKα).
Lines closer than 0.1° are merged.

Main lines, in order of falling intensity (10° ≤ 2θ ≤ 90°):
12.32°, I = 100; 13.98°, I = 73; 33.09°, I = 57; 30.50°, I = 38; 25.29°, I = 32; 19.91°, I = 25; 26.82°, I = 24; 38.64°, I = 23

Structure:
abc: 6.665 6.665 8.992
angles: 125.26 125.26 32.70
Positions (direct):
K: 0.182 0.182 0.289
K: 0.818 0.818 0.711
Na: 0.352 0.352 0.114
Na: 0.648 0.648 0.886
Th: 0.000 0.000 0.500
O: 0.201 0.201 0.787
O: 0.438 0.438 0.599
O: 0.562 0.562 0.401
O: 0.799 0.799 0.213